Entry 1:
The following is a simulated powder XRD pattern of DyMg2AlPd4. It was derived from a crystal structure in Alexandria, relaxed with PBE, using λ = 1.5418 Å (Cu Kα).
Kinematic intensities with the Lorentz-polarization factor, no thermal factor.

Atomic structure:
a b c (Å): 4.5781 4.5781 22.7493
angles (deg): 90.00 90.00 120.00
Space group R-3m (No. 166, hexagonal axes)
Symmetry-distinct sites (fractional):
Dy 0.0000 0.0000 0.0000
Mg 0.0000 0.0000 0.2463
Al 0.0000 0.0000 0.5000
Pd 0.0000 0.0000 0.1292
Pd 0.0000 0.0000 0.3880

Peak list (10 most intense, 2θ from 10° to 90°, in order of rising 2θ)
- 22.77 deg, I = 125, hkl 1 0 1
- 23.77 deg, I = 210, hkl 0 1 2
- 27.42 deg, I = 197, hkl 1 0 4
- 29.89 deg, I = 203, hkl 0 1 5
- 35.72 deg, I = 192, hkl 1 0 7
- 38.98 deg, I = 880, hkl 0 1 8
- 39.36 deg, I = 1000, hkl 1 1 0
- 56.60 deg, I = 292, hkl 2 0 8
- 71.11 deg, I = 291, hkl 1 2 8
- 71.37 deg, I = 168, hkl 3 0 0

---

Entry 2:
The following is a simulated powder XRD pattern of K4C2O9. It was derived from a crystal structure in Alexandria, relaxed with PBE, using λ = 1.5418 Å (Cu Kα).
Kinematic intensities with the Lorentz-polarization factor, no thermal factor.

Atomic structure:
a b c (Å): 12.5049 13.2209 7.6278
angles (deg): 90.00 125.35 90.00
Space group C2/c (No. 15)
Symmetry-distinct sites (fractional):
K 0.0000 0.2102 0.2500
K 0.0000 0.2205 0.7500
K 0.1503 0.4291 0.6009
C 0.2251 0.3407 0.1837
O 0.0000 0.4232 0.7500
O 0.0323 0.0319 0.0740
O 0.1108 0.3532 0.1488
O 0.1898 0.2180 0.6617
O 0.2467 0.1130 0.9340

Peak list (10 most intense, 2θ from 10° to 90°, in order of rising 2θ)
- 25.54 deg, I = 592, hkl 1 1 -2
- 27.01 deg, I = 593, hkl 2 2 -2
- 27.08 deg, I = 1000, hkl 3 1 0
- 29.80 deg, I = 621, hkl 4 0 -2
- 30.63 deg, I = 786, hkl 0 4 1
- 30.89 deg, I = 716, hkl 2 4 -1
- 31.79 deg, I = 839, hkl 0 2 2
- 35.06 deg, I = 820, hkl 1 5 0
- 39.99 deg, I = 524, hkl 1 5 1
- 41.86 deg, I = 596, hkl 2 0 2